# CsRb
Calculated XRD peak list, CuKα. Input: DFT lattice parameters and positions (PBE).
Lines closer than 0.1° are merged.

Top 10 peaks for 5 to 70 degrees two-theta, by angle:
4.211 Å, I 25, hkl 0 2 0; 4.188 Å, I 100, hkl 1 1 1; 4.049 Å, I 23, hkl 0 0 2; 2.919 Å, I 20, hkl 0 2 2; 2.447 Å, I 12, hkl 2 2 0; 2.427 Å, I 23, hkl 1 3 1; 2.414 Å, I 12, hkl 2 0 2; 2.363 Å, I 22, hkl 1 1 3; 2.094 Å, I 15, hkl 2 2 2; 1.895 Å, I 11, hkl 3 1 1

Crystal structure
Cell lengths 6.012, 8.423, 8.098 Å; angles 90.00, 90.00, 90.00 degrees
Space group Cmmm (No. 65)
Unique sites:
Cs: 0.000 0.000 0.000 [2 per cell]
Rb: 0.000 0.500 0.500 [2 per cell]